Entry 1:
Computed powder X-ray diffraction pattern of NdMn10Fe2 for Cu Kα X-rays, from a crystal structure in Alexandria, relaxed with PBE.
No peak broadening, texture or thermal motion is included.

Atomic structure:
```
26
Lattice="4.2145 -4.8337 0.0000 4.2145 4.8337 0.0000 0.0000 0.0000 8.0548" Properties=species:S:1:pos:R:3 pbc="T T T"
Nd 4.2145 3.6879 6.0411
Nd 4.2145 -3.6879 2.0137
Mn 2.1931 1.2761 6.0411
Mn 4.2145 3.1569 0.8677
Mn 4.2145 3.1569 3.1597
Mn 1.9419 0.0000 0.0000
Mn 1.9419 0.0000 4.0274
Mn 3.0995 1.1193 2.0137
Mn 2.1931 -1.2761 2.0137
Mn 4.2145 1.0066 4.5886
Mn 4.2145 1.0066 7.4936
Mn 3.0995 -1.1193 6.0411
Mn 5.3294 1.1193 2.0137
Mn 4.2145 -1.0066 0.5612
Mn 4.2145 -1.0066 3.4662
Mn 6.2358 1.2761 6.0411
Mn 5.3294 -1.1193 6.0411
Mn 6.4870 0.0000 0.0000
Mn 6.4870 0.0000 4.0274
Mn 4.2145 -3.1569 4.8951
Mn 4.2145 -3.1569 7.1871
Mn 6.2358 -1.2761 2.0137
Fe 2.1072 2.4168 0.0000
Fe 2.1072 2.4168 4.0274
Fe 2.1072 -2.4168 0.0000
Fe 2.1072 -2.4168 4.0274
```

Most intense lines, 2θ = 10–90°, low angle first:
Position (°2θ), Rel. int.
30.24, 24
38.35, 35
40.23, 42
42.70, 16
42.92, 39
43.15, 34
43.68, 59
44.18, 100
45.02, 23
48.98, 22



Entry 2:
Computed powder X-ray diffraction pattern of Mn4Fe6Ni for Cu Kα X-rays, from a crystal structure in Alexandria, relaxed with PBE.
No peak broadening, texture or thermal motion is included.

Atomic structure:
```
22
Lattice="3.7414 -7.2803 0.0000 3.7414 7.2803 0.0000 0.0000 0.0000 4.7432" Properties=species:S:1:pos:R:3 pbc="T T T"
Mn 1.4676 0.8075 3.5280
Mn 3.7414 5.0115 2.3716
Mn 1.4676 -0.8075 1.1563
Mn 3.7414 2.8020 1.7455
Mn 3.7414 -2.8020 4.1172
Mn 6.0152 0.8075 3.5280
Mn 3.7414 -5.0115 0.0000
Mn 6.0152 -0.8075 1.1563
Fe 1.9739 3.3691 3.2935
Fe 1.9689 1.4894 1.2218
Fe 3.7414 4.6795 4.6171
Fe 1.9689 -1.4894 3.5935
Fe 3.7414 0.2287 2.4622
Fe 1.9739 -3.3691 0.9219
Fe 5.5090 3.3691 3.2935
Fe 3.7414 -0.2287 0.0906
Fe 5.5139 1.4894 1.2218
Fe 3.7414 -4.6795 2.2455
Fe 5.5139 -1.4894 3.5935
Fe 5.5090 -3.3691 0.9219
Ni 3.7414 2.0670 4.2000
Ni 3.7414 -2.0670 1.8284
```

Most intense lines, 2θ = 10–90°, low angle first:
Position (°2θ), Rel. int.
12.16, 14
41.81, 29
44.19, 34
44.50, 75
45.12, 22
45.27, 93
47.05, 15
48.67, 100
54.07, 31
75.68, 17



Entry 3:
Computed powder X-ray diffraction pattern of MnFeNi4 for Cu Kα X-rays, from a crystal structure in Alexandria, relaxed with PBE.
No peak broadening, texture or thermal motion is included.

Atomic structure:
```
6
Lattice="0.0000 3.2963 3.2963 3.2963 0.0000 3.2963 3.2963 3.2963 0.0000" Properties=species:S:1:pos:R:3 pbc="T T T"
Mn 0.0000 0.0000 0.0000
Fe 1.6481 1.6481 1.6481
Ni 4.1204 2.4722 2.4722
Ni 2.4722 4.1204 2.4722
Ni 2.4722 2.4722 4.1204
Ni 4.1204 4.1204 4.1204
```

Most intense lines, 2θ = 10–90°, low angle first:
Position (°2θ), Rel. int.
23.37, 11
38.63, 24
45.64, 100
47.79, 44
55.78, 6
61.29, 2
69.90, 7
74.84, 27
82.83, 24
87.55, 2